(1)
Structure and simulated XRD peak list of Tb2Pr2Ni (a crystal structure in OQMD, relaxed with PBE; a wavelength of 1.5418 Å).
Intensities are scaled so that the largest is 100.

Largest 10 diffraction maxima, low angle first, 10° ≤ 2θ ≤ 90°:
2θ 31.05, I = 83, hkl 1 0 3
2θ 33.52, I = 100, hkl 1 1 0
2θ 37.96, I = 21, hkl 1 0 4
2θ 46.33, I = 28, hkl 2 0 3
2θ 53.61, I = 10, hkl 1 0 6
2θ 58.39, I = 28, hkl 2 1 3
2θ 59.93, I = 19, hkl 3 0 0
2θ 62.88, I = 9, hkl 2 1 4
2θ 70.44, I = 11, hkl 2 2 0
2θ 78.95, I = 12, hkl 3 1 3

Structural model:
a b c (Å): 5.3471 5.3471 11.0369
angles (deg): 90.00 90.00 120.00
Space group P6_3/mmc (No. 194)
Unique sites:
Tb: 0.3333 0.6667 0.0970 x4
Pr: 0.0000 0.0000 0.0000 x2
Pr: 0.3333 0.6667 0.7500 x2
Ni: 0.0000 0.0000 0.2500 x2

(2)
Structure and simulated XRD peak list of Ba2AuO4 (a crystal structure in OQMD, relaxed with PBE; a wavelength of 1.5418 Å).
Intensities are scaled so that the largest is 100.

Largest 10 diffraction maxima, low angle first, 10° ≤ 2θ ≤ 90°:
2θ 24.41, I = 39, hkl 2 2 0
2θ 28.71, I = 100, hkl 3 1 1
2θ 30.01, I = 15, hkl 2 2 2
2θ 42.96, I = 18, hkl 4 2 2
2θ 45.71, I = 36, hkl 3 3 3
2θ 50.02, I = 39, hkl 4 4 0
2θ 58.70, I = 13, hkl 5 3 3
2θ 68.02, I = 9, hkl 6 4 2
2θ 70.07, I = 24, hkl 7 3 1
2θ 80.67, I = 13, hkl 7 5 1

Structural model:
a b c (Å): 10.3144 10.3144 10.3144
angles (deg): 90.00 90.00 90.00
Space group Fd-3m (No. 227, origin choice 2)
Unique sites:
Ba: 0.0000 0.0000 0.0000 x16
Au: 0.1250 0.1250 0.6250 x8
O: 0.0068 0.0068 0.7432 x32